# 1
AgSbP2O8: theoretical X-ray diffraction stick pattern (Cu Kα, 1.54184 Å), based on DFT lattice parameters and positions (PBE).

Crystal structure
Unit cell a=4.8000 b=4.8000 c=8.1645 alpha=90.00 beta=90.00 gamma=120.00
Space group P-3 (No. 147)
Symmetry-distinct sites (fractional):
Ag 0.0000 0.0000 0.0000 [1 per cell]
Sb 0.0000 0.0000 0.5000 [1 per cell]
P 0.3333 0.6667 0.7195 [2 per cell]
O 0.0435 0.3491 0.6477 [6 per cell]
O 0.3333 0.6667 0.9029 [2 per cell]

Top 10 peaks for 5 to 70 degrees two-theta, by intensity:
h k l	d (Å)	2theta	I/Imax
0 1 2	2.913	30.70	100
1 0 0	4.157	21.38	64
1 1 0	2.400	37.47	35
0 2 2	1.852	49.19	27
2 -1 2	2.069	43.75	26
2 1 2	1.466	63.44	23
0 1 1	3.704	24.02	21
1 0 4	1.832	49.77	20
1 1 4	1.555	59.45	19
0 0 2	4.082	21.77	14

---

# 2
Ag5TePO4: theoretical X-ray diffraction stick pattern (Cu Kα, 1.54184 Å), based on DFT lattice parameters and positions (PBE).

Crystal structure
Unit cell a=7.097 b=7.097 c=7.437 alpha=90.00 beta=90.00 gamma=90.00
Space group P4/nmm (No. 129, origin choice 2)
Symmetry-distinct sites (fractional):
Ag 0.028 0.028 0.200 [8 per cell]
Ag 0.250 0.250 0.464 [2 per cell]
Te 0.250 0.250 0.990 [2 per cell]
P 0.250 0.750 0.500 [2 per cell]
O 0.068 0.750 0.380 [8 per cell]

Top 10 peaks for 5 to 70 degrees two-theta, by intensity:
h k l	d (Å)	2theta	I/Imax
2 0 2	2.567	34.95	100
2 2 0	2.509	35.79	51
1 1 0	5.018	17.67	27
4 2 2	1.460	63.76	24
4 0 0	1.774	51.51	18
2 0 3	2.032	44.59	17
1 1 2	2.988	29.91	14
2 0 1	3.203	27.86	13
3 1 2	1.921	47.31	12
3 0 1	2.254	39.99	11

---

# 3
Ag4TeP2O14: theoretical X-ray diffraction stick pattern (Cu Kα, 1.54184 Å), based on DFT lattice parameters and positions (PBE).

Crystal structure
Unit cell a=5.702 b=18.513 c=6.711 alpha=90.00 beta=124.60 gamma=90.00
Space group P2_1/c (No. 14)
Symmetry-distinct sites (fractional):
Ag 0.080 0.180 0.433 [4 per cell]
Ag 0.251 0.063 0.121 [4 per cell]
Te 0.000 0.000 0.500 [2 per cell]
P 0.245 0.667 0.588 [4 per cell]
O 0.024 0.212 0.981 [4 per cell]
O 0.177 0.588 0.616 [4 per cell]
O 0.178 0.075 0.399 [4 per cell]
O 0.247 0.050 0.811 [4 per cell]
O 0.305 0.674 0.387 [4 per cell]
O 0.319 0.562 0.093 [4 per cell]
O 0.497 0.198 0.680 [4 per cell]

Top 10 peaks for 5 to 70 degrees two-theta, by intensity:
h k l	d (Å)	2theta	I/Imax
1 4 -1	3.513	25.35	100
1 0 0	4.694	18.91	58
1 0 -2	3.354	26.57	56
0 5 1	3.077	29.02	36
1 1 1	2.830	31.62	34
0 2 0	9.257	9.55	32
1 5 -1	3.053	29.25	30
1 1 -2	3.300	27.02	26
0 2 1	4.744	18.71	22
0 8 0	2.314	38.92	21

---

# 4
Tl2Ag3P3O12: theoretical X-ray diffraction stick pattern (Cu Kα, 1.54184 Å), based on DFT lattice parameters and positions (PBE).

Crystal structure
Unit cell a=13.119 b=13.440 c=6.876 alpha=90.00 beta=115.94 gamma=90.00
Space group C2/c (No. 15)
Symmetry-distinct sites (fractional):
Tl 0.227 0.154 0.150 [8 per cell]
Ag 0.000 0.018 0.250 [4 per cell]
Ag 0.000 0.286 0.250 [4 per cell]
Ag 0.000 0.500 0.000 [4 per cell]
P 0.000 0.280 0.750 [4 per cell]
P 0.235 0.102 0.632 [8 per cell]
O 0.050 0.214 0.957 [8 per cell]
O 0.087 0.353 0.727 [8 per cell]
O 0.144 0.424 0.323 [8 per cell]
O 0.161 0.005 0.612 [8 per cell]
O 0.171 0.160 0.413 [8 per cell]
O 0.227 0.170 0.811 [8 per cell]

Top 10 peaks for 5 to 70 degrees two-theta, by intensity:
h k l	d (Å)	2theta	I/Imax
2 4 0	2.919	30.62	100
4 0 0	2.951	30.29	81
1 3 -2	2.695	33.24	73
1 1 1	4.433	20.03	65
3 1 -2	3.118	28.63	47
2 2 -1	4.342	20.46	46
0 2 1	4.550	19.51	36
1 1 2	2.660	33.70	35
3 3 2	1.853	49.16	31
2 4 -1	2.893	30.91	31

---

# 5
Tl2AgP2O6: theoretical X-ray diffraction stick pattern (Cu Kα, 1.54184 Å), based on DFT lattice parameters and positions (PBE).

Crystal structure
Unit cell a=5.9700 b=5.9700 c=17.6789 alpha=90.00 beta=90.00 gamma=120.00
Space group R-3m (No. 166, hexagonal axes)
Symmetry-distinct sites (fractional):
Tl 0.0000 0.0000 0.2214 [6 per cell]
Ag 0.0000 0.0000 0.0000 [3 per cell]
P 0.0000 0.0000 0.4338 [6 per cell]
O 0.0425 0.5213 0.2506 [18 per cell]

Top 10 peaks for 5 to 70 degrees two-theta, by intensity:
h k l	d (Å)	2theta	I/Imax
1 1 0	2.985	29.93	100
0 1 5	2.919	30.63	71
1 0 4	3.360	26.53	63
0 2 4	2.231	40.42	37
1 1 9	1.641	56.04	36
0 1 2	4.463	19.89	28
2 0 5	2.087	43.36	25
1 2 5	1.710	53.58	24
2 1 4	1.787	51.11	22
2 0 2	2.481	36.20	20